# 1
Theoretical powder XRD pattern
Compound: Eu3Mg
Radiation: Cu Kα X-rays
Structure: a cell relaxed with PBE
Intensities are scaled so that the largest is 100.

The 12 most intense peaks (10 to 80 degrees two-theta), in order of rising 2θ:
14.72°, I = 6; 22.62°, I = 10; 26.84°, I = 15; 29.70°, I = 18; 30.17°, I = 100; 42.85°, I = 13; 43.49°, I = 15; 53.00°, I = 11; 53.59°, I = 22; 53.84°, I = 15; 62.74°, I = 11; 71.66°, I = 7

Structure:
Unit cell a=4.159 b=12.033 c=5.922 alpha=90.00 beta=90.00 gamma=90.00
Element x y z (fractional)
Eu  0.000  0.000  0.000
Eu  0.000  0.228  0.513
Eu  0.000  0.772  0.513
Eu  0.500  0.272  0.013
Eu  0.500  0.500  0.500
Eu  0.500  0.728  0.013
Mg  0.000  0.500  0.996
Mg  0.500  0.000  0.496


# 2
Theoretical powder XRD pattern
Compound: Eu5Mg
Radiation: Cu Kα X-rays
Structure: a cell relaxed with PBE
Intensities are scaled so that the largest is 100.

The 12 most intense peaks (10 to 80 degrees two-theta), in order of rising 2θ:
26.23°, I = 17; 27.81°, I = 15; 28.94°, I = 34; 30.03°, I = 100; 31.43°, I = 31; 39.45°, I = 12; 40.57°, I = 11; 48.24°, I = 14; 51.98°, I = 21; 54.64°, I = 11; 56.16°, I = 12; 57.24°, I = 16

Structure:
Unit cell a=6.170 b=4.006 c=19.245 alpha=90.00 beta=90.00 gamma=90.00
Element x y z (fractional)
Eu  0.000  0.000  0.000
Eu  0.000  0.000  0.314
Eu  0.000  0.500  0.500
Eu  0.000  0.500  0.814
Eu  0.500  0.000  0.114
Eu  0.500  0.000  0.443
Eu  0.500  0.000  0.774
Eu  0.500  0.500  0.274
Eu  0.500  0.500  0.614
Eu  0.500  0.500  0.943
Mg  0.000  0.000  0.657
Mg  0.000  0.500  0.157


# 3
Theoretical powder XRD pattern
Compound: EuMg
Radiation: Cu Kα X-rays
Structure: a cell relaxed with PBE
Intensities are scaled so that the largest is 100.

The 12 most intense peaks (10 to 80 degrees two-theta), in order of rising 2θ:
21.47°, I = 60; 21.65°, I = 30; 30.55°, I = 50; 30.68°, I = 100; 37.76°, I = 29; 43.75°, I = 18; 49.28°, I = 26; 49.57°, I = 13; 54.38°, I = 37; 54.62°, I = 19; 63.88°, I = 12; 72.23°, I = 15

Structure:
Unit cell a=5.851 b=4.105 c=5.853 alpha=90.00 beta=90.00 gamma=90.00
Element x y z (fractional)
Eu  0.250  0.000  0.232
Eu  0.750  0.000  0.768
Mg  0.250  0.500  0.726
Mg  0.750  0.500  0.274